This entry pairs a crystal structure of Cs2BaCo3F12 with its theoretical powder X-ray diffraction pattern. Radiation: Cu Ka. Structure: DFT lattice parameters and positions (GGA+U).
No peak broadening, texture or thermal motion is included.

Top 10 peaks for 2θ from 10° to 90°, by angle:
| Position (°2θ) | intensity |
| --- | --- |
| 23.10 | 61 |
| 27.21 | 51 |
| 27.62 | 100 |
| 28.43 | 71 |
| 28.59 | 54 |
| 36.94 | 34 |
| 43.48 | 37 |
| 44.03 | 37 |
| 47.22 | 57 |
| 56.06 | 41 |

Atomic structure:
a b c (Å): 7.6999 7.6999 17.7933
angles (deg): 90.00 90.00 120.00
Space group R-3m (No. 166, hexagonal axes)
One atom of each set of equivalent atoms:
Cs1 0.0000 0.0000 0.1083 [6 per cell]
Ba1 0.0000 0.0000 0.5000 [3 per cell]
Co1 0.0000 0.5000 0.0000 [9 per cell]
F1 0.0351 0.5175 0.8957 [18 per cell]
F2 0.0874 0.5437 0.3169 [18 per cell]